Computed powder XRD pattern of DyEr2Sc4 for copper Kα, from a DFT-relaxed cell (GGA-PBE, Alexandria).
Intensities are scaled so that the largest is 100.

Cell and atoms:
```
DyEr2Sc4
1.0
1.7923 -10.4670 0.0000
1.7923 10.4670 0.0000
0.0000 0.0000 5.2264
Dy Er Sc
1 2 4
Direct
0.0000 0.0000 0.0000
0.4264 0.5736 0.5000
0.5736 0.4264 0.5000
0.1970 0.8030 0.5000
0.3203 0.6797 0.0000
0.6797 0.3203 0.0000
0.8030 0.1970 0.5000
```

Largest 10 diffraction maxima, in order of rising 2θ, 2θ = 10–80°:
- d 3.698, 24.06 deg, intensity 22
- d 2.927, 30.54 deg, intensity 80
- d 2.902, 30.81 deg, intensity 68
- d 2.722, 32.90 deg, intensity 100
- d 2.614, 34.31 deg, intensity 52
- d 2.340, 38.47 deg, intensity 28
- d 2.296, 39.23 deg, intensity 25
- d 1.885, 48.27 deg, intensity 24
- d 1.725, 53.09 deg, intensity 21
- d 1.563, 59.11 deg, intensity 26

=====

Computed powder XRD pattern of Dy4Er2Sc3 for copper Kα, from a DFT-relaxed cell (GGA-PBE, Alexandria).
Intensities are scaled so that the largest is 100.

Cell and atoms:
```
Dy4Er2Sc3
1.0
3.4814 0.0000 0.0000
-1.7407 3.0150 0.0000
0.0000 0.0000 25.1538
Dy Er Sc
4 2 3
Direct
0.0000 0.0000 0.0000
0.0000 0.0000 0.2108
0.3333 0.6667 0.3272
0.3333 0.6667 0.5394
0.0000 0.0000 0.6543
0.0000 0.0000 0.8632
0.0000 0.0000 0.4332
0.3333 0.6667 0.1044
0.3333 0.6667 0.7594
```

Largest 10 diffraction maxima, in order of rising 2θ, 2θ = 10–80°:
- d 8.385, 10.55 deg, intensity 29
- d 3.015, 29.63 deg, intensity 51
- d 2.994, 29.85 deg, intensity 33
- d 2.795, 32.02 deg, intensity 39
- d 2.719, 32.95 deg, intensity 50
- d 2.586, 34.69 deg, intensity 100
- d 2.050, 44.19 deg, intensity 27
- d 1.741, 52.58 deg, intensity 34
- d 1.543, 59.93 deg, intensity 29
- d 1.478, 62.90 deg, intensity 33